Record 1
Structure and calculated PXRD pattern of Cs2SrHgBr6 (a DFT-relaxed cell (GGA-PBE, Alexandria); copper Kα).
Kinematic intensities with the Lorentz-polarization factor, no thermal factor.

Crystal structure
a = 8.1642 Å, b = 8.2545 Å, c = 14.1739 Å
α = 90.00°, β = 124.76°, γ = 90.00°
Positions (direct):
Cs  0.2373  0.0465  0.2487
Cs  0.2373  0.4535  0.7487
Cs  0.7627  0.5465  0.2513
Cs  0.7627  0.9535  0.7513
Sr  0.5000  0.0000  0.0000
Sr  0.5000  0.5000  0.5000
Hg  0.0000  0.0000  0.5000
Hg  0.0000  0.5000  0.0000
Br  0.1723  0.2200  0.9680
Br  0.1723  0.2800  0.4680
Br  0.2470  0.7049  0.9681
Br  0.2470  0.7951  0.4681
Br  0.3029  0.0043  0.7419
Br  0.3029  0.4957  0.2419
Br  0.6971  0.5043  0.7581
Br  0.6971  0.9957  0.2581
Br  0.7530  0.2049  0.5319
Br  0.7530  0.2951  0.0319
Br  0.8277  0.7200  0.5320
Br  0.8277  0.7800  0.0320

The 8 most intense peaks (15 to 90 degrees two-theta), by angle:
| 2theta | Rel. int. |
| --- | --- |
| 15.25 | 194 |
| 21.55 | 408 |
| 21.71 | 398 |
| 30.77 | 1000 |
| 37.82 | 276 |
| 38.17 | 170 |
| 43.92 | 279 |
| 44.18 | 193 |

***

Record 2
Structure and calculated PXRD pattern of Na2ZrInO4 (a DFT-relaxed cell (GGA-PBE, Alexandria); copper Kα).
Kinematic intensities with the Lorentz-polarization factor, no thermal factor.

Crystal structure
a = 5.9476 Å, b = 3.3017 Å, c = 6.0374 Å
α = 90.00°, β = 110.94°, γ = 90.00°
Positions (direct):
Na  0.0000  0.0000  0.0000
Na  0.0000  0.5000  0.5000
Zr  0.5000  0.0000  0.5000
In  0.5000  0.5000  0.0000
O  0.2885  0.5000  0.2882
O  0.2936  0.0000  0.7258
O  0.7064  0.0000  0.2742
O  0.7115  0.5000  0.7118

The 8 most intense peaks (15 to 90 degrees two-theta), by angle:
| 2theta | Rel. int. |
| --- | --- |
| 15.95 | 1000 |
| 31.40 | 295 |
| 31.74 | 222 |
| 32.63 | 404 |
| 36.40 | 390 |
| 38.01 | 719 |
| 53.32 | 237 |
| 53.98 | 332 |

***

Record 3
Structure and calculated PXRD pattern of Cs2Rb3Hg9 (a DFT-relaxed cell (GGA-PBE, Alexandria); copper Kα).
Kinematic intensities with the Lorentz-polarization factor, no thermal factor.

Crystal structure
a = 10.9194 Å, b = 10.9194 Å, c = 10.9194 Å
α = 151.11°, β = 112.92°, γ = 74.64°
Positions (direct):
Cs  0.2104  0.0000  0.2104
Cs  0.7896  0.0000  0.7896
Rb  0.2067  0.2067  0.0000
Rb  0.5000  0.5000  0.0000
Rb  0.7933  0.7933  0.0000
Hg  0.0000  0.5000  0.5000
Hg  0.0849  0.3466  0.7383
Hg  0.1874  0.8184  0.3690
Hg  0.3917  0.6534  0.7383
Hg  0.4493  0.8184  0.6310
Hg  0.5507  0.1816  0.3690
Hg  0.6083  0.3466  0.2617
Hg  0.8126  0.1816  0.6310
Hg  0.9151  0.6534  0.2617

The 8 most intense peaks (15 to 90 degrees two-theta), by angle:
| 2theta | Rel. int. |
| --- | --- |
| 26.90 | 1000 |
| 29.46 | 325 |
| 30.89 | 327 |
| 32.88 | 399 |
| 34.37 | 259 |
| 37.45 | 319 |
| 45.74 | 277 |
| 50.88 | 211 |

***

Record 4
Structure and calculated PXRD pattern of CeDy4HoS8 (a DFT-relaxed cell (GGA-PBE, Alexandria); copper Kα).
Kinematic intensities with the Lorentz-polarization factor, no thermal factor.

Crystal structure
a = 8.0962 Å, b = 8.0962 Å, c = 8.0962 Å
α = 60.06°, β = 60.06°, γ = 60.06°
Positions (direct):
Ce  0.0000  0.0000  0.0000
Dy  0.1251  0.6247  0.6247
Dy  0.2496  0.2496  0.2496
Dy  0.6247  0.1251  0.6247
Dy  0.6247  0.6247  0.1251
Ho  0.6248  0.6248  0.6248
S  0.3819  0.3819  0.3819
S  0.3830  0.3830  0.8525
S  0.3830  0.8525  0.3830
S  0.4103  0.8624  0.8624
S  0.8525  0.3830  0.3830
S  0.8624  0.4103  0.8624
S  0.8624  0.8624  0.4103
S  0.8633  0.8633  0.8633

The 8 most intense peaks (15 to 90 degrees two-theta), by angle:
| 2theta | Rel. int. |
| --- | --- |
| 21.95 | 249 |
| 25.80 | 1000 |
| 26.96 | 150 |
| 31.23 | 204 |
| 40.94 | 445 |
| 44.75 | 577 |
| 52.38 | 147 |
| 62.25 | 244 |